Ba2Mn3Tl2Zn2O10: computed XRD peak list (CuKα), based on a crystal structure in Alexandria, relaxed with PBE+U.
Neutral-atom scattering factors, no anomalous dispersion.

Structure:
abc: 34.6024 4.0914 4.0898
angles: 90.00 96.63 90.00
Space group Cm (No. 8)
One atom of each set of equivalent atoms:
Ba1 0.0000 0.0000 0.0000 x2
Ba2 0.2153 0.5000 0.7255 x2
Mn1 0.2646 0.0000 0.2748 x2
Mn2 0.3319 0.0000 0.8397 x2
Mn3 0.4376 0.0000 0.4426 x2
Tl1 0.0729 0.5000 0.5389 x2
Tl2 0.1387 0.0000 0.0876 x2
Zn1 0.3268 0.5000 0.3346 x2
Zn2 0.4060 0.5000 0.9120 x2
O1 0.0790 0.0000 0.1950 x2
O2 0.1373 0.5000 0.8109 x2
O3 0.2009 0.0000 0.2292 x2
O4 0.2684 0.5000 0.2763 x2
O5 0.2698 0.0000 0.7798 x2
O6 0.3337 0.0000 0.3415 x2
O7 0.3486 0.5000 0.8557 x2
O8 0.4274 0.0000 0.9327 x2
O9 0.4296 0.5000 0.4341 x2
O10 0.4977 0.0000 0.5058 x2

The 10 most intense peaks (10° ≤ 2θ ≤ 90°), sorted by position:
d [Å]  I (rel.)
3.516  25
3.143  100
2.892  50
2.852  39
2.792  38
2.455  14
2.045  41
1.872  29
1.714  36
1.446  12